Hf2BiPb: theoretical powder diffractogram (Cu Kα (λ = 1.5418 Å)), based on a cell relaxed with PBE.

Top 6 peaks for 15° ≤ 2θ ≤ 90°, by intensity:
2θ = 34.94°, d 2.568, rel. 100
2θ = 62.66°, d 1.483, rel. 38
2θ = 50.24°, d 1.816, rel. 18
2θ = 84.33°, d 1.149, rel. 17
2θ = 73.79°, d 1.284, rel. 12
2θ = 24.51°, d 3.632, rel. 1

Structure:
```
Hf2BiPb
1.0
0.000 3.632 3.632
3.632 0.000 3.632
3.632 3.632 0.000
Hf Bi Pb
2 1 1
Direct
0.250 0.250 0.250
0.750 0.750 0.750
0.000 0.000 0.000
0.500 0.500 0.500
```